This entry pairs a crystal structure of CaAgSn with its calculated powder diffraction line list. Radiation: copper Kα. Structure: a DFT-relaxed cell (GGA-PBE, the Materials Project).
Intensities are scaled so that the largest is 100.

Crystal structure
a = 4.861 Å, b = 4.861 Å, c = 11.045 Å
α = 90.00°, β = 90.00°, γ = 120.00°
Sites, in units of the cell vectors:
1 Ca 0.000 0.000 0.000
2 Ca 0.000 0.000 0.332
3 Ca 0.000 0.000 0.665
4 Ag 0.333 0.667 0.142
5 Ag 0.333 0.667 0.520
6 Ag 0.667 0.333 0.825
7 Sn 0.333 0.667 0.835
8 Sn 0.667 0.333 0.187
9 Sn 0.667 0.333 0.481

Most intense lines, 2θ = 10–90°, sorted by position:
| Position (°2θ) | d [Å] | I_rel |
| --- | --- | --- |
| 21.10 | 4.210 | 29 |
| 24.17 | 3.682 | 42 |
| 32.30 | 2.771 | 89 |
| 36.99 | 2.430 | 100 |
| 44.68 | 2.028 | 50 |
| 49.91 | 1.827 | 25 |
| 63.38 | 1.467 | 27 |
| 63.72 | 1.461 | 24 |
| 66.65 | 1.403 | 17 |
| 72.01 | 1.311 | 16 |



This entry pairs a crystal structure of LiHfAu2 with its calculated powder diffraction line list. Radiation: copper Kα. Structure: a DFT-relaxed cell (GGA-PBE, the Materials Project).
Intensities are scaled so that the largest is 100.

Crystal structure
a = 4.656 Å, b = 4.656 Å, c = 4.656 Å
α = 60.00°, β = 60.00°, γ = 60.00°
Sites, in units of the cell vectors:
1 Li 0.000 0.000 0.000
2 Hf 0.500 0.500 0.500
3 Au 0.250 0.250 0.250
4 Au 0.750 0.750 0.750

Most intense lines, 2θ = 10–90°, sorted by position:
| Position (°2θ) | d [Å] | I_rel |
| --- | --- | --- |
| 23.40 | 3.802 | 21 |
| 27.08 | 3.292 | 17 |
| 38.68 | 2.328 | 100 |
| 45.70 | 1.985 | 11 |
| 47.85 | 1.901 | 5 |
| 55.85 | 1.646 | 17 |
| 61.37 | 1.511 | 5 |
| 63.15 | 1.472 | 7 |
| 70.00 | 1.344 | 36 |
| 82.95 | 1.164 | 12 |



This entry pairs a crystal structure of TiCoGe2 with its calculated powder diffraction line list. Radiation: copper Kα. Structure: a DFT-relaxed cell (GGA-PBE, the Materials Project).
Intensities are scaled so that the largest is 100.

Crystal structure
a = 8.831 Å, b = 9.933 Å, c = 7.742 Å
α = 90.00°, β = 90.00°, γ = 90.00°
Sites, in units of the cell vectors:
1 Ti 0.166 0.181 0.000
2 Ti 0.169 0.453 0.240
3 Ti 0.169 0.453 0.760
4 Ti 0.331 0.953 0.240
5 Ti 0.331 0.953 0.760
6 Ti 0.334 0.681 0.000
7 Ti 0.666 0.319 0.000
8 Ti 0.669 0.047 0.240
9 Ti 0.669 0.047 0.760
10 Ti 0.831 0.547 0.240
11 Ti 0.831 0.547 0.760
12 Ti 0.834 0.819 0.000
13 Co 0.000 0.000 0.244
14 Co 0.000 0.000 0.756
15 Co 0.092 0.750 0.249
16 Co 0.092 0.750 0.751
17 Co 0.408 0.250 0.249
18 Co 0.408 0.250 0.751
19 Co 0.500 0.500 0.244
20 Co 0.500 0.500 0.756
21 Co 0.592 0.750 0.249
22 Co 0.592 0.750 0.751
23 Co 0.908 0.250 0.249
24 Co 0.908 0.250 0.751
25 Ge 0.040 0.620 0.000
26 Ge 0.040 0.620 0.500
27 Ge 0.132 0.901 0.000
28 Ge 0.133 0.906 0.500
29 Ge 0.162 0.181 0.338
30 Ge 0.162 0.181 0.662
31 Ge 0.338 0.681 0.338
32 Ge 0.338 0.681 0.662
33 Ge 0.367 0.406 0.500
34 Ge 0.368 0.401 0.000
35 Ge 0.460 0.120 0.000
36 Ge 0.460 0.120 0.500
37 Ge 0.540 0.880 0.000
38 Ge 0.540 0.880 0.500
39 Ge 0.632 0.599 0.000
40 Ge 0.633 0.594 0.500
41 Ge 0.662 0.319 0.338
42 Ge 0.662 0.319 0.662
43 Ge 0.838 0.819 0.338
44 Ge 0.838 0.819 0.662
45 Ge 0.867 0.094 0.500
46 Ge 0.868 0.099 0.000
47 Ge 0.960 0.380 0.000
48 Ge 0.960 0.380 0.500

Most intense lines, 2θ = 10–90°, sorted by position:
| Position (°2θ) | d [Å] | I_rel |
| --- | --- | --- |
| 37.63 | 2.391 | 46 |
| 39.51 | 2.281 | 87 |
| 41.03 | 2.200 | 63 |
| 41.30 | 2.186 | 100 |
| 41.92 | 2.155 | 39 |
| 43.29 | 2.090 | 74 |
| 46.94 | 1.936 | 41 |
| 48.17 | 1.889 | 21 |
| 52.44 | 1.745 | 25 |
| 69.59 | 1.351 | 23 |